The following is a simulated powder XRD pattern of K3TmCl6. It was derived from a DFT-relaxed cell (GGA-PBE, the Materials Project), using Cu Kα (weighted mean of Kα1 and Kα2).
Intensities are scaled so that the largest is 100.

Crystal structure
```
data_K3TmCl6
_cell_length_a 13.1677
_cell_length_b 7.7784
_cell_length_c 12.6172
_cell_angle_alpha 90.00
_cell_angle_beta 108.74
_cell_angle_gamma 90.00
_symmetry_space_group_name_H-M 'P 1 21/c 1'
_symmetry_Int_Tables_number 14
loop_
_symmetry_equiv_pos_as_xyz
'x,y,z'
'-x,-y,-z'
'-x,y+1/2,-z+1/2'
'x,-y+1/2,z+1/2'
loop_
_atom_site_label
_atom_site_fract_x
_atom_site_fract_y
_atom_site_fract_z
K1 0.0987 0.0324 0.3596
K2 0.3149 0.5654 0.2654
K3 0.3202 0.0655 0.1127
Tm1 0.0000 0.0000 0.0000
Tm2 0.5000 0.0000 0.5000
Cl1 0.1003 0.2198 0.5962
Cl2 0.1185 0.5023 0.3721
Cl3 0.1367 0.6811 0.6522
Cl4 0.3469 0.7066 0.0053
Cl5 0.3490 0.2134 0.3930
Cl6 0.5000 0.1404 0.6895
```

Top 8 peaks for 5 to 70 degrees two-theta, by angle:
- 2θ = 14.19°, I 100.0, hkl 1 1 -1
- 2θ = 14.83°, I 22.8, hkl 0 0 2
- 2θ = 16.41°, I 54.2, hkl 1 1 1
- 2θ = 23.28°, I 31.5, hkl 3 1 -1
- 2θ = 24.05°, I 38.7, hkl 1 1 -3
- 2θ = 30.70°, I 19.5, hkl 1 1 -4
- 2θ = 33.17°, I 42.6, hkl 2 2 2
- 2θ = 43.52°, I 24.0, hkl 6 0 0